Theoretical PXRD pattern of CuWO3F2 for Cu Kα X-rays, from a structure optimized by DFT (GGA+U).

Structural model:
a b c (Å): 3.7886 9.8228 5.2962
angles (deg): 90.00 105.47 90.00
Space group P2_1/m (No. 11)
Symmetry-distinct sites (fractional):
Cu1 0.0000 0.0000 0.0000 [2 per cell]
W1 0.2025 0.2500 0.5244 [2 per cell]
O1 0.1169 0.1092 0.2998 [4 per cell]
O2 0.2720 0.7500 0.4037 [2 per cell]
F1 0.3261 0.1128 0.8451 [4 per cell]

Peak list (6 most intense, 2θ from 10° to 90°, in order of rising 2θ)
2θ/deg, I (rel.), index
17.37, 21, 0 0 1
18.06, 21, 0 2 0
25.16, 100, 0 2 1
26.03, 50, 1 1 0
27.51, 32, 1 1 -1
51.65, 16, 0 4 2